For Ca6Al3Si8N18, a structure optimized by DFT (PBE) gives the computed X-ray diffraction stick pattern in this record (λ = 1.5418 Å (Cu Kα)).
No peak broadening, texture or thermal motion is included.

Peak list (12 most intense, 2θ = 15–90°, sorted by position)
31.45 deg, d 2.844, I = 78.5; 31.93 deg, d 2.803, I = 47.8; 35.34 deg, d 2.540, I = 100.0; 35.98 deg, d 2.496, I = 41.0; 36.13 deg, d 2.486, I = 35.7; 36.32 deg, d 2.474, I = 79.6; 36.53 deg, d 2.460, I = 22.9; 36.71 deg, d 2.448, I = 22.9; 36.82 deg, d 2.441, I = 24.6; 48.20 deg, d 1.888, I = 18.1; 55.68 deg, d 1.651, I = 19.9; 56.64 deg, d 1.625, I = 16.1

Cell and atoms:
```
Ca6Al3Si8N18
1.0
7.5863 0.0000 0.0000
1.2998 7.4771 0.0000
1.3795 0.9598 7.4590
Ca Al Si N
6 3 8 18
Direct
0.0000 0.0000 0.0000
0.0244 0.0444 0.4323
0.3125 0.3365 0.3381
0.3401 0.3296 0.7545
0.5690 0.7099 0.7135
0.6823 0.7159 0.1004
0.6522 0.3225 0.0476
0.7009 0.3907 0.4306
0.9695 0.6684 0.3860
0.0303 0.4031 0.0876
0.0508 0.7174 0.7572
0.2885 0.6663 0.0477
0.3547 0.7381 0.4188
0.3861 0.0504 0.0860
0.6341 0.0040 0.3752
0.7020 0.0623 0.7580
0.9404 0.3639 0.7103
0.0202 0.4883 0.8545
0.1128 0.5593 0.1879
0.1237 0.2436 0.5941
0.1280 0.7322 0.5240
0.1764 0.1956 0.1086
0.2079 0.7772 0.8617
0.3391 0.8246 0.1825
0.4589 0.8932 0.4814
0.4707 0.5234 0.4607
0.4839 0.5207 0.9923
0.4893 0.0404 0.8702
0.5405 0.1335 0.1924
0.6901 0.1426 0.5263
0.7914 0.2280 0.8439
0.8090 0.3883 0.1870
0.8336 0.8754 0.2889
0.8367 0.5072 0.5477
0.8387 0.8534 0.7958
```